No. 1
Te4MoW3Se2S2: theoretical PXRD pattern (Cu Ka), based on a structure optimized by DFT (GGA-PBE).
Kinematic intensities with the Lorentz-polarization factor, no thermal factor.

Cell and atoms:
abc: 3.3995 3.3995 38.8904
angles: 90.00 90.00 120.00
Fractional positions:
Te 0.0000 0.0000 0.0000
Te 0.0000 0.0000 0.0967
Te 0.3333 0.6667 0.1880
Te 0.3333 0.6667 0.2847
Mo 0.0000 0.0000 0.8606
W 0.0000 0.0000 0.2363
W 0.3333 0.6667 0.0484
W 0.3333 0.6667 0.4242
Se 0.0000 0.0000 0.3817
Se 0.0000 0.0000 0.4666
S 0.3333 0.6667 0.8219
S 0.3333 0.6667 0.8993

Top 6 peaks for 2θ = 10–80°, sorted by position:
2θ 11.4, I 100; 2θ 30.4, I 46; 2θ 35.7, I 84; 2θ 37.0, I 27; 2θ 43.1, I 49; 2θ 54.0, I 35

---

No. 2
Ho2Cr2C3: theoretical PXRD pattern (Cu Ka), based on a structure optimized by DFT (GGA-PBE).
Kinematic intensities with the Lorentz-polarization factor, no thermal factor.

Cell and atoms:
abc: 10.4324 3.3554 5.5506
angles: 90.00 105.97 90.00
Fractional positions:
Ho 0.1065 0.0000 0.3166
Ho 0.3935 0.5000 0.6834
Ho 0.6065 0.5000 0.3166
Ho 0.8935 0.0000 0.6834
Cr 0.1564 0.5000 0.8895
Cr 0.3436 0.0000 0.1105
Cr 0.6564 0.0000 0.8895
Cr 0.8436 0.5000 0.1105
C 0.0000 0.5000 0.0000
C 0.2160 0.0000 0.7684
C 0.2840 0.5000 0.2316
C 0.5000 0.0000 0.0000
C 0.7160 0.5000 0.7684
C 0.7840 0.0000 0.2316

Top 6 peaks for 2θ = 10–80°, sorted by position:
2θ 27.6, I 43; 2θ 28.0, I 40; 2θ 33.4, I 48; 2θ 34.0, I 100; 2θ 35.8, I 35; 2θ 38.5, I 89

---

No. 3
KBF4: theoretical PXRD pattern (Cu Ka), based on a structure optimized by DFT (GGA-PBE).
Kinematic intensities with the Lorentz-polarization factor, no thermal factor.

Cell and atoms:
abc: 5.0919 5.1347 5.2981
angles: 96.96 115.99 114.15
Fractional positions:
K 0.0000 0.0000 0.0000
B 0.4852 0.2758 0.7373
F 0.2557 0.3694 0.7251
F 0.3202 0.9519 0.6446
F 0.5978 0.3755 0.5447
F 0.7745 0.4103 0.0396

Top 6 peaks for 2θ = 10–80°, sorted by position:
2θ 20.0, I 95; 2θ 20.4, I 68; 2θ 20.7, I 92; 2θ 21.2, I 100; 2θ 38.0, I 78; 2θ 38.4, I 58

---

No. 4
Mg6TiBiO8: theoretical PXRD pattern (Cu Ka), based on a structure optimized by DFT (GGA-PBE).
Kinematic intensities with the Lorentz-polarization factor, no thermal factor.

Cell and atoms:
abc: 4.5198 4.5198 9.0376
angles: 90.00 90.00 90.00
Fractional positions:
Mg 0.0000 0.0000 0.0000
Mg 0.0000 0.0000 0.5000
Mg 0.0000 0.5000 0.2366
Mg 0.0000 0.5000 0.7634
Mg 0.5000 0.0000 0.2366
Mg 0.5000 0.0000 0.7634
Ti 0.5000 0.5000 0.0000
Bi 0.5000 0.5000 0.5000
O 0.0000 0.0000 0.2468
O 0.0000 0.0000 0.7532
O 0.0000 0.5000 0.0000
O 0.0000 0.5000 0.5000
O 0.5000 0.0000 0.0000
O 0.5000 0.0000 0.5000
O 0.5000 0.5000 0.2289
O 0.5000 0.5000 0.7711

Top 6 peaks for 2θ = 10–80°, sorted by position:
2θ 19.6, I 86; 2θ 22.0, I 49; 2θ 27.9, I 75; 2θ 34.4, I 53; 2θ 39.9, I 100; 2θ 57.7, I 61

---

No. 5
AgI: theoretical PXRD pattern (Cu Ka), based on a structure optimized by DFT (GGA-PBE).
Kinematic intensities with the Lorentz-polarization factor, no thermal factor.

Cell and atoms:
abc: 4.7892 4.7892 6.3895
angles: 90.00 90.00 90.00
Fractional positions:
Ag 0.0000 0.0000 0.0000
Ag 0.5000 0.5000 0.5000
I 0.0000 0.5000 0.2500
I 0.5000 0.0000 0.7500

Top 6 peaks for 2θ = 10–80°, sorted by position:
2θ 23.2, I 100; 2θ 37.6, I 28; 2θ 38.7, I 51; 2θ 44.6, I 34; 2θ 46.7, I 15; 2θ 68.6, I 18

---

No. 6
Ba5Ce4YO15: theoretical PXRD pattern (Cu Ka), based on a structure optimized by DFT (GGA-PBE).
Kinematic intensities with the Lorentz-polarization factor, no thermal factor.

Cell and atoms:
abc: 6.2980 10.8784 14.0038
angles: 74.94 77.20 73.78
Fractional positions:
Ba 0.0051 0.2471 0.2476
Ba 0.1931 0.1560 0.9528
Ba 0.2041 0.6494 0.4481
Ba 0.3952 0.5510 0.1501
Ba 0.4075 0.0464 0.6449
Ba 0.5925 0.9536 0.3551
Ba 0.6048 0.4490 0.8499
Ba 0.7959 0.3506 0.5519
Ba 0.8069 0.8440 0.0472
Ba 0.9949 0.7529 0.7524
Ce 0.1993 0.3997 0.7020
Ce 0.1993 0.9002 0.2017
Ce 0.4011 0.2983 0.4006
Ce 0.4013 0.7984 0.9006
Ce 0.5987 0.2016 0.0994
Ce 0.5989 0.7017 0.5994
Ce 0.8007 0.0998 0.7983
Ce 0.8007 0.6003 0.2980
Y 0.0000 0.0000 0.5000
Y 0.0000 0.5000 0.0000
O 0.0526 0.2233 0.7258
O 0.0606 0.4200 0.8576
O 0.0734 0.9297 0.8571
O 0.1260 0.4690 0.3439
O 0.1411 0.9795 0.3378
O 0.1519 0.1768 0.4715
O 0.2525 0.6274 0.9275
O 0.2583 0.8193 0.0616
O 0.2778 0.3293 0.0565
O 0.3282 0.8674 0.5439
O 0.3403 0.3810 0.5409
O 0.3489 0.5765 0.6727
O 0.4521 0.0246 0.1256
O 0.4585 0.2189 0.2601
O 0.4736 0.7303 0.2564
O 0.5264 0.2697 0.7436
O 0.5415 0.7811 0.7399
O 0.5479 0.9754 0.8744
O 0.6511 0.4235 0.3273
O 0.6597 0.6190 0.4591
O 0.6718 0.1326 0.4561
O 0.7222 0.6707 0.9435
O 0.7417 0.1807 0.9384
O 0.7475 0.3726 0.0725
O 0.8481 0.8232 0.5285
O 0.8589 0.0205 0.6622
O 0.8740 0.5310 0.6561
O 0.9266 0.0703 0.1429
O 0.9394 0.5800 0.1424
O 0.9474 0.7767 0.2742

Top 6 peaks for 2θ = 10–80°, sorted by position:
2θ 28.2, I 31; 2θ 28.4, I 65; 2θ 28.5, I 100; 2θ 40.7, I 36; 2θ 50.2, I 22; 2θ 50.5, I 22

---

No. 7
Ho2Ge3: theoretical PXRD pattern (Cu Ka), based on a structure optimized by DFT (GGA-PBE).
Kinematic intensities with the Lorentz-polarization factor, no thermal factor.

Cell and atoms:
abc: 4.3948 4.3948 6.9877
angles: 90.00 90.00 120.00
Fractional positions:
Ho 0.0000 0.0000 0.2306
Ho 0.0000 0.0000 0.7694
Ge 0.3333 0.6667 0.5000
Ge 0.6667 0.3333 0.0000
Ge 0.6667 0.3333 0.5000

Top 6 peaks for 2θ = 10–80°, sorted by position:
2θ 23.4, I 36; 2θ 34.9, I 100; 2θ 41.1, I 51; 2θ 54.9, I 27; 2θ 68.6, I 19; 2θ 70.8, I 25

---

No. 8
CeMg6C: theoretical PXRD pattern (Cu Ka), based on a structure optimized by DFT (GGA-PBE).
Kinematic intensities with the Lorentz-polarization factor, no thermal factor.

Cell and atoms:
abc: 4.6342 7.7560 10.9252
angles: 90.00 90.00 90.00
Fractional positions:
Ce 0.0000 0.0000 0.0000
Ce 0.0000 0.5000 0.5000
Mg 0.0000 0.0000 0.4418
Mg 0.0000 0.1940 0.7258
Mg 0.0000 0.3060 0.2258
Mg 0.0000 0.5000 0.9418
Mg 0.0000 0.6940 0.2258
Mg 0.0000 0.8060 0.7258
Mg 0.5000 0.0000 0.2492
Mg 0.5000 0.2114 0.5266
Mg 0.5000 0.2886 0.0266
Mg 0.5000 0.5000 0.7492
Mg 0.5000 0.7114 0.0266
Mg 0.5000 0.7886 0.5266
C 0.5000 0.0000 0.0488
C 0.5000 0.5000 0.5488

Top 6 peaks for 2θ = 10–80°, sorted by position:
2θ 14.0, I 84; 2θ 16.2, I 50; 2θ 23.8, I 54; 2θ 32.8, I 28; 2θ 33.4, I 38; 2θ 34.3, I 100

---

No. 9
Rb2NbCuS4: theoretical PXRD pattern (Cu Ka), based on a structure optimized by DFT (GGA-PBE).
Kinematic intensities with the Lorentz-polarization factor, no thermal factor.

Cell and atoms:
abc: 13.9899 12.4773 7.4668
angles: 85.16 62.71 32.13
Fractional positions:
Rb 0.0525 0.0525 0.6975
Rb 0.3025 0.3025 0.9475
Rb 0.6975 0.6975 0.0525
Rb 0.9475 0.9475 0.3025
Nb 0.1250 0.1250 0.1250
Nb 0.8750 0.8750 0.8750
Cu 0.3750 0.3750 0.3750
Cu 0.6250 0.6250 0.6250
S 0.0301 0.3269 0.4113
S 0.2683 0.5887 0.6731
S 0.3269 0.0301 0.7317
S 0.4113 0.7317 0.0301
S 0.5887 0.2683 0.9699
S 0.6731 0.9699 0.2683
S 0.7317 0.4113 0.3269
S 0.9699 0.6731 0.5887

Top 6 peaks for 2θ = 10–80°, sorted by position:
2θ 14.6, I 49; 2θ 25.5, I 100; 2θ 27.3, I 60; 2θ 31.1, I 54; 2θ 34.5, I 41; 2θ 39.1, I 50

---

No. 10
PmSm3: theoretical PXRD pattern (Cu Ka), based on a structure optimized by DFT (GGA-PBE).
Kinematic intensities with the Lorentz-polarization factor, no thermal factor.

Cell and atoms:
abc: 5.1552 5.1552 10.3317
angles: 90.00 90.00 90.00
Fractional positions:
Pm 0.0000 0.0000 0.0000
Pm 0.5000 0.5000 0.5000
Sm 0.0000 0.0000 0.5000
Sm 0.0000 0.5000 0.2500
Sm 0.0000 0.5000 0.7500
Sm 0.5000 0.0000 0.2500
Sm 0.5000 0.0000 0.7500
Sm 0.5000 0.5000 0.0000

Top 6 peaks for 2θ = 10–80°, sorted by position:
2θ 30.0, I 100; 2θ 34.8, I 51; 2θ 50.0, I 36; 2θ 59.4, I 43; 2θ 62.4, I 12; 2θ 73.5, I 4